Diffraction record for In2GaHg4. The XRD peak list is calculated, not measured: it uses a structure optimized by DFT (GGA-PBE) and CuKα.
Kinematic intensities with the Lorentz-polarization factor, no thermal factor.

Principal peaks in the range 2θ from 5° to 70°, most intense first:
- 33.12 deg, 2.705 Å, intensity 100
- 37.42 deg, 2.403 Å, intensity 80
- 24.78 deg, 3.593 Å, intensity 42
- 50.82 deg, 1.796 Å, intensity 30
- 64.79 deg, 1.439 Å, intensity 29
- 56.23 deg, 1.636 Å, intensity 16
- 67.51 deg, 1.387 Å, intensity 14
- 22.25 deg, 3.995 Å, intensity 11
- 38.31 deg, 2.350 Å, intensity 10
- 45.40 deg, 1.998 Å, intensity 9

Crystal structure
```
In2GaHg4
1.0
2.4031 1.3875 9.4888
-2.4031 1.3875 9.4888
0.0000 -2.7749 9.4888
In Ga Hg
2 1 4
Direct
0.2473 0.2473 0.2473
0.7527 0.7527 0.7527
0.0000 0.0000 0.0000
0.1352 0.1352 0.1352
0.3748 0.3748 0.3748
0.6252 0.6252 0.6252
0.8648 0.8648 0.8648
```

=====

Diffraction record for In10GaHg4. The XRD peak list is calculated, not measured: it uses a structure optimized by DFT (GGA-PBE) and CuKα.
Kinematic intensities with the Lorentz-polarization factor, no thermal factor.

Principal peaks in the range 2θ from 5° to 70°, most intense first:
- 35.40 deg, 2.536 Å, intensity 100
- 24.74 deg, 3.599 Å, intensity 99
- 36.99 deg, 2.430 Å, intensity 87
- 33.09 deg, 2.707 Å, intensity 70
- 38.98 deg, 2.311 Å, intensity 64
- 59.51 deg, 1.553 Å, intensity 39
- 20.08 deg, 4.422 Å, intensity 35
- 44.46 deg, 2.038 Å, intensity 31
- 40.32 deg, 2.237 Å, intensity 27
- 43.15 deg, 2.097 Å, intensity 22

Crystal structure
```
In10GaHg4
1.0
3.2715 -3.8328 0.0000
3.2715 3.8328 0.0000
-1.6086 0.0000 16.9107
In Ga Hg
10 1 4
Direct
0.0005 0.5835 0.4049
0.1863 0.5975 0.2012
0.2048 0.7952 0.0000
0.4025 0.8137 0.7988
0.4165 0.9995 0.5951
0.5835 0.0005 0.4049
0.5975 0.1863 0.2012
0.7952 0.2048 0.0000
0.8137 0.4025 0.7988
0.9995 0.4165 0.5951
0.5000 0.5000 0.5000
0.0866 0.0866 0.3021
0.3042 0.3042 0.8996
0.6958 0.6958 0.1004
0.9134 0.9134 0.6979
```

=====

Diffraction record for In2GaHg8. The XRD peak list is calculated, not measured: it uses a structure optimized by DFT (GGA-PBE) and CuKα.
Kinematic intensities with the Lorentz-polarization factor, no thermal factor.

Principal peaks in the range 2θ from 5° to 70°, most intense first:
- 34.53 deg, 2.597 Å, intensity 100
- 34.93 deg, 2.569 Å, intensity 56
- 62.39 deg, 1.488 Å, intensity 37
- 50.23 deg, 1.816 Å, intensity 20
- 29.35 deg, 3.043 Å, intensity 17
- 61.62 deg, 1.505 Å, intensity 12
- 54.51 deg, 1.684 Å, intensity 11
- 24.50 deg, 3.633 Å, intensity 9
- 40.47 deg, 2.229 Å, intensity 6
- 66.39 deg, 1.408 Å, intensity 6

Crystal structure
```
In2GaHg8
1.0
5.1373 0.0000 0.0000
0.0000 5.1373 0.0000
0.0000 0.0000 11.1449
In Ga Hg
2 1 8
Direct
0.0000 0.0000 0.1797
0.0000 0.0000 0.8203
0.0000 0.0000 0.5000
0.0000 0.5000 0.0000
0.0000 0.5000 0.3598
0.0000 0.5000 0.6402
0.5000 0.0000 0.0000
0.5000 0.0000 0.3598
0.5000 0.0000 0.6402
0.5000 0.5000 0.1853
0.5000 0.5000 0.8147
```

=====

Diffraction record for In8Ga2Hg. The XRD peak list is calculated, not measured: it uses a structure optimized by DFT (GGA-PBE) and CuKα.
Kinematic intensities with the Lorentz-polarization factor, no thermal factor.

Principal peaks in the range 2θ from 5° to 70°, most intense first:
- 33.11 deg, 2.706 Å, intensity 100
- 30.43 deg, 2.937 Å, intensity 22
- 40.80 deg, 2.212 Å, intensity 20
- 69.41 deg, 1.354 Å, intensity 14
- 35.81 deg, 2.508 Å, intensity 14
- 38.50 deg, 2.338 Å, intensity 12
- 63.25 deg, 1.470 Å, intensity 10
- 57.34 deg, 1.607 Å, intensity 8
- 40.67 deg, 2.218 Å, intensity 8
- 55.39 deg, 1.659 Å, intensity 8

Crystal structure
```
In8Ga2Hg
1.0
8.6095 -2.2118 0.0000
8.6095 2.2118 0.0000
-2.4610 0.0000 7.4914
In Ga Hg
8 2 1
Direct
0.0321 0.0321 0.2448
0.1693 0.1693 0.7746
0.3270 0.3270 0.5578
0.4030 0.4030 0.0143
0.5970 0.5970 0.9857
0.6730 0.6730 0.4422
0.8307 0.8307 0.2254
0.9679 0.9679 0.7552
0.2067 0.2067 0.1913
0.7933 0.7933 0.8087
0.5000 0.5000 0.5000
```

=====

Diffraction record for In3Ga2Hg8. The XRD peak list is calculated, not measured: it uses a structure optimized by DFT (GGA-PBE) and CuKα.
Kinematic intensities with the Lorentz-polarization factor, no thermal factor.

Principal peaks in the range 2θ from 5° to 70°, most intense first:
- 33.26 deg, 2.693 Å, intensity 100
- 34.81 deg, 2.577 Å, intensity 86
- 36.20 deg, 2.481 Å, intensity 83
- 33.64 deg, 2.664 Å, intensity 62
- 36.94 deg, 2.433 Å, intensity 60
- 35.65 deg, 2.519 Å, intensity 52
- 35.83 deg, 2.506 Å, intensity 38
- 30.03 deg, 2.976 Å, intensity 32
- 31.46 deg, 2.844 Å, intensity 29
- 62.25 deg, 1.491 Å, intensity 27

Crystal structure
```
In3Ga2Hg8
1.0
4.9757 0.0000 0.0000
-0.2193 7.5183 0.0000
-0.5208 -2.8004 8.9644
In Ga Hg
3 2 8
Direct
0.0000 0.0000 0.0000
0.4910 0.2720 0.9191
0.5090 0.7280 0.0809
0.0047 0.6920 0.5754
0.9953 0.3080 0.4246
0.0061 0.5559 0.8452
0.0137 0.8979 0.3231
0.4926 0.1712 0.2410
0.4968 0.6551 0.3932
0.5032 0.3449 0.6068
0.5074 0.8288 0.7590
0.9863 0.1021 0.6769
0.9939 0.4441 0.1548
```

=====

Diffraction record for In3Ga2Hg3. The XRD peak list is calculated, not measured: it uses a structure optimized by DFT (GGA-PBE) and CuKα.
Kinematic intensities with the Lorentz-polarization factor, no thermal factor.

Principal peaks in the range 2θ from 5° to 70°, most intense first:
- 30.69 deg, 2.913 Å, intensity 100
- 30.35 deg, 2.945 Å, intensity 100
- 35.41 deg, 2.535 Å, intensity 74
- 37.62 deg, 2.391 Å, intensity 66
- 35.90 deg, 2.501 Å, intensity 64
- 40.18 deg, 2.244 Å, intensity 55
- 56.21 deg, 1.636 Å, intensity 41
- 36.47 deg, 2.464 Å, intensity 33
- 25.97 deg, 3.431 Å, intensity 28
- 53.41 deg, 1.716 Å, intensity 27

Crystal structure
```
In3Ga2Hg3
1.0
4.4895 0.0000 0.0000
0.0002 4.7818 0.0000
2.0598 0.0084 9.8544
In Ga Hg
3 2 3
Direct
0.0000 0.0000 0.0000
0.1158 0.4999 0.7717
0.8842 0.5001 0.2283
0.2804 0.5001 0.4342
0.7196 0.4999 0.5658
0.3657 0.0003 0.2871
0.5000 0.5000 0.0000
0.6343 0.9997 0.7129
```

=====

Diffraction record for In5Ga2Hg4. The XRD peak list is calculated, not measured: it uses a structure optimized by DFT (GGA-PBE) and CuKα.
Kinematic intensities with the Lorentz-polarization factor, no thermal factor.

Principal peaks in the range 2θ from 5° to 70°, most intense first:
- 32.33 deg, 2.769 Å, intensity 100
- 33.27 deg, 2.693 Å, intensity 90
- 25.54 deg, 3.488 Å, intensity 76
- 39.63 deg, 2.274 Å, intensity 56
- 35.30 deg, 2.542 Å, intensity 53
- 35.15 deg, 2.553 Å, intensity 42
- 49.59 deg, 1.838 Å, intensity 40
- 41.33 deg, 2.184 Å, intensity 36
- 33.86 deg, 2.647 Å, intensity 35
- 39.93 deg, 2.258 Å, intensity 33

Crystal structure
```
In5Ga2Hg4
1.0
3.6867 0.0000 0.0000
1.6327 7.0625 0.0000
0.7024 1.7380 11.0904
In Ga Hg
5 2 4
Direct
0.0000 0.0000 0.0000
0.3130 0.3096 0.5066
0.3238 0.3328 0.0677
0.6762 0.6672 0.9323
0.6870 0.6904 0.4934
0.0524 0.9411 0.6221
0.9476 0.0589 0.3779
0.2506 0.5374 0.7386
0.4781 0.1080 0.7766
0.5219 0.8920 0.2234
0.7494 0.4626 0.2614
```

=====

Diffraction record for InGaHg. The XRD peak list is calculated, not measured: it uses a structure optimized by DFT (GGA-PBE) and CuKα.
Kinematic intensities with the Lorentz-polarization factor, no thermal factor.

Principal peaks in the range 2θ from 5° to 70°, most intense first:
- 32.42 deg, 2.762 Å, intensity 100
- 32.71 deg, 2.738 Å, intensity 78
- 31.64 deg, 2.828 Å, intensity 62
- 43.48 deg, 2.081 Å, intensity 52
- 34.75 deg, 2.581 Å, intensity 51
- 40.65 deg, 2.219 Å, intensity 41
- 40.43 deg, 2.231 Å, intensity 41
- 21.64 deg, 4.106 Å, intensity 34
- 59.45 deg, 1.555 Å, intensity 31
- 34.44 deg, 2.604 Å, intensity 26

Crystal structure
```
InGaHg
1.0
3.3797 0.0000 0.0000
-0.0056 5.2544 0.0000
-1.6423 -1.0672 8.2129
In Ga Hg
2 2 2
Direct
0.0000 0.0000 0.0000
0.1845 0.0701 0.3741
0.3426 0.7852 0.6887
0.8408 0.2871 0.6855
0.5012 0.4989 0.0015
0.6827 0.5713 0.3729
```

=====

Diffraction record for In8GaHg3. The XRD peak list is calculated, not measured: it uses a structure optimized by DFT (GGA-PBE) and CuKα.
Kinematic intensities with the Lorentz-polarization factor, no thermal factor.

Principal peaks in the range 2θ from 5° to 70°, most intense first:
- 36.57 deg, 2.457 Å, intensity 100
- 22.30 deg, 3.986 Å, intensity 33
- 21.88 deg, 4.063 Å, intensity 29
- 35.71 deg, 2.515 Å, intensity 27
- 36.80 deg, 2.443 Å, intensity 25
- 64.71 deg, 1.441 Å, intensity 18
- 52.21 deg, 1.752 Å, intensity 18
- 66.13 deg, 1.413 Å, intensity 17
- 43.25 deg, 2.092 Å, intensity 17
- 42.51 deg, 2.127 Å, intensity 13

Crystal structure
```
In8GaHg3
1.0
0.0000 5.0292 6.8935
4.8851 0.0000 6.8935
4.8851 5.0292 0.0000
In Ga Hg
8 1 3
Direct
0.0015 0.4911 0.9985
0.2392 0.7505 0.7608
0.2440 0.7560 0.2440
0.4857 0.9965 0.0035
0.4911 0.0015 0.5089
0.7505 0.2392 0.2495
0.7560 0.2440 0.7560
0.9965 0.4857 0.5143
0.1210 0.1210 0.8790
0.3706 0.3706 0.1294
0.6201 0.6201 0.3799
0.8706 0.8706 0.6294
```

=====

Diffraction record for InGa3Hg2. The XRD peak list is calculated, not measured: it uses a structure optimized by DFT (GGA-PBE) and CuKα.
Kinematic intensities with the Lorentz-polarization factor, no thermal factor.

Principal peaks in the range 2θ from 5° to 70°, most intense first:
- 32.29 deg, 2.773 Å, intensity 100
- 35.77 deg, 2.511 Å, intensity 75
- 34.74 deg, 2.583 Å, intensity 71
- 29.16 deg, 3.062 Å, intensity 71
- 31.81 deg, 2.813 Å, intensity 52
- 8.22 deg, 10.752 Å, intensity 44
- 42.19 deg, 2.142 Å, intensity 40
- 30.26 deg, 2.953 Å, intensity 29
- 39.63 deg, 2.274 Å, intensity 23
- 45.16 deg, 2.008 Å, intensity 23

Crystal structure
```
InGa3Hg2
1.0
4.3041 0.0000 0.0000
-1.6563 6.0356 0.0000
-1.7989 -2.6951 10.7515
In Ga Hg
2 6 4
Direct
0.1243 0.0703 0.1488
0.8757 0.9297 0.8512
0.1892 0.8401 0.4397
0.2112 0.5928 0.6805
0.2887 0.2903 0.4317
0.7113 0.7097 0.5683
0.7888 0.4072 0.3195
0.8108 0.1599 0.5603
0.2804 0.6378 0.9502
0.4591 0.2268 0.7597
0.5409 0.7732 0.2403
0.7196 0.3622 0.0498
```

=====

Diffraction record for In5Ga4Hg4. The XRD peak list is calculated, not measured: it uses a structure optimized by DFT (GGA-PBE) and CuKα.
Kinematic intensities with the Lorentz-polarization factor, no thermal factor.

Principal peaks in the range 2θ from 5° to 70°, most intense first:
- 33.99 deg, 2.638 Å, intensity 100
- 33.76 deg, 2.655 Å, intensity 72
- 42.83 deg, 2.112 Å, intensity 58
- 33.23 deg, 2.696 Å, intensity 53
- 33.11 deg, 2.706 Å, intensity 44
- 31.89 deg, 2.806 Å, intensity 39
- 26.59 deg, 3.353 Å, intensity 35
- 42.69 deg, 2.118 Å, intensity 31
- 22.27 deg, 3.992 Å, intensity 28
- 45.49 deg, 1.994 Å, intensity 26

Crystal structure
```
In5Ga4Hg4
1.0
4.2235 0.0000 0.0000
1.9805 8.7264 0.0000
2.0604 0.5297 8.7101
In Ga Hg
5 4 4
Direct
0.0000 0.0000 0.0000
0.2924 0.1174 0.3153
0.4091 0.3044 0.8814
0.5909 0.6956 0.1186
0.7076 0.8826 0.6847
0.0858 0.5032 0.3318
0.4155 0.6633 0.5039
0.5845 0.3367 0.4961
0.9142 0.4968 0.6682
0.0945 0.1443 0.6619
0.2351 0.6575 0.8603
0.7649 0.3425 0.1397
0.9055 0.8557 0.3381
```

=====

Diffraction record for In5Ga2Hg6. The XRD peak list is calculated, not measured: it uses a structure optimized by DFT (GGA-PBE) and CuKα.
Kinematic intensities with the Lorentz-polarization factor, no thermal factor.

Principal peaks in the range 2θ from 5° to 70°, most intense first:
- 32.11 deg, 2.787 Å, intensity 100
- 33.04 deg, 2.711 Å, intensity 83
- 43.50 deg, 2.080 Å, intensity 56
- 32.32 deg, 2.770 Å, intensity 27
- 39.34 deg, 2.290 Å, intensity 24
- 37.03 deg, 2.428 Å, intensity 22
- 29.38 deg, 3.040 Å, intensity 20
- 36.19 deg, 2.482 Å, intensity 20
- 41.92 deg, 2.155 Å, intensity 19
- 26.24 deg, 3.396 Å, intensity 17

Crystal structure
```
In5Ga2Hg6
1.0
4.1635 0.0000 0.0000
0.0000 14.4326 0.0000
-0.4887 0.0000 11.2902
In Ga Hg
10 4 12
Direct
0.0000 0.0000 0.0000
0.0000 0.5000 0.5000
0.0023 0.0638 0.3536
0.0023 0.4362 0.8536
0.0057 0.7426 0.4479
0.0057 0.7574 0.9479
0.9943 0.2426 0.0521
0.9943 0.2574 0.5521
0.9977 0.5638 0.1464
0.9977 0.9362 0.6464
0.4893 0.2289 0.3480
0.4893 0.2711 0.8480
0.5107 0.7289 0.1520
0.5107 0.7711 0.6520
0.0078 0.6346 0.7061
0.0078 0.8654 0.2061
0.4901 0.0939 0.5830
0.4901 0.4061 0.0830
0.4937 0.6005 0.3527
0.4937 0.8995 0.8527
0.5063 0.1005 0.1473
0.5063 0.3995 0.6473
0.5099 0.5939 0.9170
0.5099 0.9061 0.4170
0.9922 0.1346 0.7939
0.9922 0.3654 0.2939
```

=====

Diffraction record for InGaHg. The XRD peak list is calculated, not measured: it uses a structure optimized by DFT (GGA-PBE) and CuKα.
Kinematic intensities with the Lorentz-polarization factor, no thermal factor.

Principal peaks in the range 2θ from 5° to 70°, most intense first:
- 32.66 deg, 2.742 Å, intensity 100
- 35.59 deg, 2.522 Å, intensity 80
- 8.15 deg, 10.843 Å, intensity 45
- 26.81 deg, 3.325 Å, intensity 38
- 29.65 deg, 3.013 Å, intensity 31
- 33.57 deg, 2.669 Å, intensity 30
- 41.81 deg, 2.160 Å, intensity 29
- 42.98 deg, 2.105 Å, intensity 27
- 61.52 deg, 1.507 Å, intensity 21
- 50.68 deg, 1.801 Å, intensity 20

Crystal structure
```
InGaHg
1.0
3.2227 0.0000 0.0000
0.0000 4.2092 0.0000
-0.8881 0.0000 10.8429
In Ga Hg
2 2 2
Direct
0.1324 0.0000 0.2812
0.8676 0.5000 0.7188
0.2863 0.0013 0.5627
0.7137 0.5013 0.4373
0.3662 0.5006 0.0920
0.6338 0.0006 0.9080
```